For Tm2Pd2Pt3, a crystal structure in Alexandria, relaxed with GGA-PBE gives the theoretical X-ray powder pattern in this record (Cu Kα, 1.54184 Å).
Intensities are scaled so that the largest is 100.

The 6 most intense peaks (2θ from 10° to 90°), sorted by position:
2θ (°)	intensity	index
35.92	66	2 0 -3
36.33	67	0 2 0
39.57	100	3 1 -1
40.14	95	1 1 2
52.02	46	2 2 -3
67.54	21	3 3 -1

Structure:
Cell lengths 7.817, 4.945, 7.617 Å; angles 90.00, 119.73, 90.00 degrees
Sites, in units of the cell vectors:
Tm 0.239 0.000 0.170
Tm 0.261 0.500 0.830
Tm 0.739 0.500 0.170
Tm 0.761 0.000 0.830
Pd 0.160 0.500 0.419
Pd 0.340 0.000 0.581
Pd 0.660 0.000 0.419
Pd 0.840 0.500 0.581
Pt 0.000 0.500 0.000
Pt 0.065 0.000 0.721
Pt 0.435 0.500 0.279
Pt 0.500 0.000 0.000
Pt 0.565 0.500 0.721
Pt 0.935 0.000 0.279